Structure and simulated X-ray powder pattern of K2Be2NiO6F8 (a cell relaxed with GGA+U; Cu Kα (λ = 1.5418 Å)).

Cell and atoms:
```
K2Be2NiO6F8
1.0
6.5154 0.0000 0.0000
2.6234 7.7625 0.0000
0.0071 0.0137 11.1458
K Be Ni O F
4 4 2 12 16
Cartesian
1.1746 0.9175 1.6878
2.4898 4.8016 3.8851
6.6561 2.9745 7.2606
7.9713 6.8587 9.4579
3.1357 4.5027 7.2641
1.8294 0.6237 9.4526
7.3165 7.1525 1.6931
6.0101 3.2734 3.8817
3.2612 0.0068 5.5729
4.5694 3.8812 0.0000
2.9735 3.5891 10.2190
4.2844 7.4669 6.4997
2.9996 1.1087 4.1365
4.3102 4.9879 1.4314
4.0081 2.5244 1.0780
5.3222 6.4099 4.5001
3.8237 1.3663 6.6457
5.1377 5.2518 10.0677
4.8356 2.7883 9.7144
6.1463 6.6675 7.0093
4.8615 0.3093 4.6460
6.1724 4.1871 0.9268
0.6598 0.7232 8.4529
1.9699 4.6046 8.2654
1.7315 1.8620 10.4342
3.0423 5.7384 6.2828
2.8567 3.2772 6.2734
4.1743 7.1622 10.4463
3.2430 0.5239 8.7666
4.5539 4.4015 7.9520
4.5920 3.3747 3.1938
5.9028 7.2523 2.3791
4.9716 0.6139 0.6994
6.2891 4.4990 4.8723
6.1035 2.0378 4.8630
7.4144 5.9142 0.7116
7.1759 3.1716 2.8804
8.4861 7.0530 2.6929
```

Main lines, in order of rising 2θ (2θ from 10° to 90°):
2theta  I (rel.)
14.35  267
17.18  355
21.48  369
22.54  1000
22.86  630
26.59  235
26.61  235
28.64  651
34.93  262
41.17  374


Structure and simulated X-ray powder pattern of AlCr4Cu3O12 (a cell relaxed with GGA+U; Cu Kα (λ = 1.5418 Å)).

Cell and atoms:
```
AlCr4Cu3O12
1.0
-3.6643 3.6643 3.6643
3.6643 -3.6643 3.6643
3.6643 3.6643 -3.6643
Al Cr Cu O
1 4 3 12
Cartesian
0.0000 0.0000 0.0000
1.8321 1.8321 -1.8321
1.8321 -1.8321 1.8321
-1.8321 1.8321 1.8321
1.8321 1.8321 1.8321
3.6643 0.0000 0.0000
0.0000 3.6643 0.0000
0.0000 0.0000 3.6643
3.6643 -1.4440 2.4610
2.2203 1.2032 0.0000
5.1083 1.2032 0.0000
2.4610 3.6643 -1.4440
1.2032 0.0000 2.2203
0.0000 2.2203 1.2032
3.6643 1.4440 2.4610
2.4610 3.6643 1.4440
1.2032 0.0000 5.1083
-1.4440 2.4610 3.6643
1.4440 2.4610 3.6643
0.0000 5.1083 1.2032
```

Main lines, in order of rising 2θ (2θ from 10° to 90°):
2theta  I (rel.)
17.11  57
29.86  98
34.62  1000
38.86  68
46.36  38
49.77  262
62.04  501
73.03  113
75.67  28
83.41  155